For HgWO3, DFT lattice parameters and positions (GGA+U) gives the theoretical powder XRD pattern in this record (Cu Ka).
Intensities are scaled so that the largest is 100.

Atomic structure:
```
HgWO3
1.0
3.989 0.000 0.000
0.000 3.989 0.000
0.000 0.000 3.989
Hg W O
1 1 3
Cartesian
0.000 0.000 0.000 Hg
1.994 1.994 1.994 W
0.000 1.994 1.994 O
1.994 0.000 1.994 O
1.994 1.994 0.000 O
```

The 7 most intense peaks (2θ = 10–90°), low angle first:
2θ = 31.7°, I 100
2θ = 39.1°, I 1
2θ = 45.5°, I 26
2θ = 56.5°, I 41
2θ = 66.3°, I 16
2θ = 75.3°, I 18
2θ = 84.1°, I 6